(1)
Structure and theoretical powder diffraction line list of Fe3Ni3B2 (a PBE-relaxed structure; Cu Ka).

Crystal structure
a b c (Å): 4.4117 5.2955 6.6314
angles (deg): 90.00 90.06 90.00
Space group P2_1 (No. 4)
Symmetry-distinct sites (fractional):
Fe  0.0993  0.0000  0.3102
Fe  0.1038  0.0016  0.6885
Fe  0.3956  0.3580  0.1929
Ni  0.1195  0.7078  0.0020
Ni  0.3815  0.6526  0.4986
Ni  0.4026  0.3649  0.8150
B  0.1945  0.3028  0.5007
B  0.3064  0.0598  0.9943

The 10 most intense peaks (2θ = 5–70°), by angle:
37.96°, I = 721, hkl 1 1 -2
42.07°, I = 680, hkl 1 2 -1
43.75°, I = 891, hkl 0 2 2
44.49°, I = 777, hkl 2 1 0
45.92°, I = 1000, hkl 1 0 3
46.66°, I = 781, hkl 2 1 1
48.60°, I = 487, hkl 1 2 2
49.21°, I = 456, hkl 1 1 -3
52.75°, I = 321, hkl 2 1 -2
56.12°, I = 366, hkl 1 3 0



(2)
Structure and theoretical powder diffraction line list of FeNiB (a PBE-relaxed structure; Cu Ka).

Crystal structure
a b c (Å): 9.6390 2.9806 5.6893
angles (deg): 90.00 90.00 90.00
Space group Pmma (No. 51)
Symmetry-distinct sites (fractional):
Fe  0.0451  0.0000  0.2076
Fe  0.2500  0.0000  0.8483
Ni  0.1197  0.5000  0.5640
Ni  0.2500  0.5000  0.1913
B  0.0887  0.5000  0.9395
B  0.2500  0.0000  0.4418

The 10 most intense peaks (2θ = 5–70°), by angle:
33.95°, I = 379, hkl 0 1 1
40.66°, I = 354, hkl 4 0 1
44.00°, I = 260, hkl 0 1 2
44.41°, I = 1000, hkl 3 1 1
45.05°, I = 368, hkl 1 1 2
47.97°, I = 208, hkl 0 0 3
48.08°, I = 237, hkl 2 1 2
48.58°, I = 239, hkl 4 1 0
49.58°, I = 257, hkl 4 0 2
62.30°, I = 268, hkl 0 2 0



(3)
Structure and theoretical powder diffraction line list of Fe6Ni10B (a PBE-relaxed structure; Cu Ka).

Crystal structure
a b c (Å): 6.9477 6.9477 4.6559
angles (deg): 90.00 90.00 120.00
Space group P-31m (No. 162)
Symmetry-distinct sites (fractional):
Fe  0.0000  0.4131  0.2559
Ni  0.0000  0.2230  0.7723
Ni  0.3333  0.6667  0.0000
Ni  0.3333  0.6667  0.5000
B  0.0000  0.0000  0.5000

The 10 most intense peaks (2θ = 5–70°), by angle:
38.68°, I = 134, hkl 0 0 2
39.63°, I = 376, hkl 2 1 0
41.60°, I = 132, hkl 1 0 2
44.33°, I = 1000, hkl 3 -1 1
45.21°, I = 195, hkl 3 0 0
46.99°, I = 520, hkl 1 1 2
49.51°, I = 101, hkl 2 0 2
56.56°, I = 114, hkl 4 -2 1
58.78°, I = 64, hkl 4 -1 1
67.25°, I = 90, hkl 2 2 2



(4)
Structure and theoretical powder diffraction line list of FeNiB2 (a PBE-relaxed structure; Cu Ka).

Crystal structure
a b c (Å): 4.9954 4.9954 4.9954
angles (deg): 90.00 90.00 90.00
Space group Fm-3m (No. 225)
Symmetry-distinct sites (fractional):
Fe  0.0000  0.0000  0.0000
Ni  0.0000  0.0000  0.5000
B  0.2500  0.2500  0.2500

The 4 most intense peaks (2θ = 5–70°), by angle:
31.01°, I = 6, hkl 1 1 1
35.96°, I = 932, hkl 2 0 0
51.76°, I = 1000, hkl 2 2 0
64.63°, I = 205, hkl 2 2 2